(1)
Starting from a structure optimized by DFT (PBE), the powder XRD pattern of Mg5H3Ir2 was computed for Cu Kα X-rays.
Kinematic intensities with the Lorentz-polarization factor, no thermal factor.

The 6 most intense peaks (15 to 90 degrees two-theta), sorted by position:
2θ/deg, intensity, hkl
16.43, 93, 1 1 0
21.56, 85, 0 2 0
24.59, 88, 1 1 -1
25.33, 100, 1 1 1
37.85, 95, 0 0 2
39.44, 63, 3 1 0

Cell and atoms:
```
data_Mg5H3Ir2
_chemical_formula_sum 'Mg10 H6 Ir4'
_symmetry_space_group_name_H-M 'C 1 2 1'
_symmetry_Int_Tables_number 5
_cell_length_a 7.1383
_cell_length_b 8.2445
_cell_length_c 4.7592
_cell_angle_alpha 90.00
_cell_angle_beta 92.24
_cell_angle_gamma 90.00
loop_
_symmetry_equiv_pos_as_xyz
'x,y,z'
'-x,y,-z'
'x+1/2,y+1/2,z'
'-x+1/2,y+1/2,-z'
loop_
_atom_site_label
_atom_site_fract_x
_atom_site_fract_y
_atom_site_fract_z
_atom_site_occupancy
Mg1 0.0000 0.0000 0.0000 1
Mg2 0.1465 0.3192 0.7502 1
Mg3 0.1658 0.6932 0.7222 1
H1 0.0000 0.5952 0.0000 1
H2 0.1565 0.9940 0.5263 1
Ir1 0.1687 0.5058 0.2415 1
```

(2)
Starting from a structure optimized by DFT (PBE), the powder XRD pattern of MgH2Ir3 was computed for Cu Kα X-rays.
Kinematic intensities with the Lorentz-polarization factor, no thermal factor.

The 6 most intense peaks (15 to 90 degrees two-theta), sorted by position:
2θ/deg, intensity, hkl
19.05, 44, 0 1 1
38.65, 100, 0 2 2
38.87, 100, 1 0 2
44.99, 66, 1 2 0
65.68, 42, 1 2 4
79.02, 38, 2 2 2

Cell and atoms:
```
data_MgH2Ir3
_chemical_formula_sum 'Mg2 H4 Ir6'
_symmetry_space_group_name_H-M 'A m m 2'
_symmetry_Int_Tables_number 38
_cell_length_a 2.8381
_cell_length_b 5.7222
_cell_length_c 8.0243
_cell_angle_alpha 90.00
_cell_angle_beta 90.00
_cell_angle_gamma 90.00
loop_
_symmetry_equiv_pos_as_xyz
'x,y,z'
'-x,-y,z'
'-x,y,z'
'x,-y,z'
'x,y+1/2,z+1/2'
'-x,-y+1/2,z+1/2'
'-x,y+1/2,z+1/2'
'x,-y+1/2,z+1/2'
loop_
_atom_site_label
_atom_site_fract_x
_atom_site_fract_y
_atom_site_fract_z
_atom_site_occupancy
Mg1 0.0000 0.0000 0.0000 1
H1 0.0000 0.0000 0.2744 1
H2 0.5000 0.0000 0.8439 1
Ir1 0.0000 0.0000 0.5057 1
Ir2 0.5000 0.2403 0.2404 1
```

(3)
Starting from a structure optimized by DFT (PBE), the powder XRD pattern of MgH3Ir3 was computed for Cu Kα X-rays.
Kinematic intensities with the Lorentz-polarization factor, no thermal factor.

The 6 most intense peaks (15 to 90 degrees two-theta), sorted by position:
2θ/deg, intensity, hkl
20.77, 17, 0 0 1
21.99, 21, 1 1 0
37.77, 100, 0 2 1
38.15, 33, 2 0 1
42.27, 22, 0 0 2
44.85, 43, 2 2 0

Cell and atoms:
```
data_MgH3Ir3
_chemical_formula_sum 'Mg2 H6 Ir6'
_symmetry_space_group_name_H-M 'C 1 m 1'
_symmetry_Int_Tables_number 8
_cell_length_a 5.6930
_cell_length_b 5.7390
_cell_length_c 4.2764
_cell_angle_alpha 90.00
_cell_angle_beta 90.56
_cell_angle_gamma 90.00
loop_
_symmetry_equiv_pos_as_xyz
'x,y,z'
'x,-y,z'
'x+1/2,y+1/2,z'
'x+1/2,-y+1/2,z'
loop_
_atom_site_label
_atom_site_fract_x
_atom_site_fract_y
_atom_site_fract_z
_atom_site_occupancy
Mg1 0.0000 0.0000 0.0000 1
H1 0.0030 0.3027 0.7343 1
H2 0.4244 0.5000 0.4765 1
Ir1 0.2489 0.2442 0.4768 1
Ir2 0.4977 0.0000 0.0439 1
```

(4)
Starting from a structure optimized by DFT (PBE), the powder XRD pattern of Mg5H3Ir2 was computed for Cu Kα X-rays.
Kinematic intensities with the Lorentz-polarization factor, no thermal factor.

The 6 most intense peaks (15 to 90 degrees two-theta), sorted by position:
2θ/deg, intensity, hkl
19.41, 71, 0 1 0
24.44, 100, -1 1 1
37.45, 48, 1 0 -3
37.85, 60, 1 1 -2
37.95, 47, 1 -2 1
40.98, 54, 1 0 2

Cell and atoms:
```
data_Mg5H3Ir2
_chemical_formula_sum 'Mg5 H3 Ir2'
_symmetry_space_group_name_H-M 'P 1'
_symmetry_Int_Tables_number 1
_cell_length_a 4.2554
_cell_length_b 5.1363
_cell_length_c 7.6115
_cell_angle_alpha 94.15
_cell_angle_beta 106.18
_cell_angle_gamma 114.32
loop_
_symmetry_equiv_pos_as_xyz
'x,y,z'
loop_
_atom_site_label
_atom_site_fract_x
_atom_site_fract_y
_atom_site_fract_z
_atom_site_occupancy
Mg1 0.0000 0.0000 0.0000 1
Mg2 0.0809 0.5681 0.5969 1
Mg3 0.2610 0.1002 0.4248 1
Mg4 0.4408 0.6249 0.2589 1
Mg5 0.5432 0.2582 0.8322 1
H1 0.4642 0.8734 0.0544 1
H2 0.7141 0.7008 0.7385 1
H3 0.9260 0.5655 0.2887 1
Ir1 0.7043 0.2048 0.2059 1
Ir2 0.8001 0.9773 0.6255 1
```

(5)
Starting from a structure optimized by DFT (PBE), the powder XRD pattern of Mg4H2Ir3 was computed for Cu Kα X-rays.
Kinematic intensities with the Lorentz-polarization factor, no thermal factor.

The 6 most intense peaks (15 to 90 degrees two-theta), sorted by position:
2θ/deg, intensity, hkl
23.67, 84, 0 1 0
24.55, 53, 1 0 -1
24.70, 55, 1 -1 1
38.57, 98, -1 1 2
39.52, 100, 0 1 -3
40.22, 49, 2 -1 0

Cell and atoms:
```
data_Mg4H2Ir3
_chemical_formula_sum 'Mg4 H2 Ir3'
_symmetry_space_group_name_H-M 'P -1'
_symmetry_Int_Tables_number 2
_cell_length_a 4.4841
_cell_length_b 4.5660
_cell_length_c 7.0923
_cell_angle_alpha 106.81
_cell_angle_beta 90.31
_cell_angle_gamma 119.13
loop_
_symmetry_equiv_pos_as_xyz
'x,y,z'
'-x,-y,-z'
loop_
_atom_site_label
_atom_site_fract_x
_atom_site_fract_y
_atom_site_fract_z
_atom_site_occupancy
Mg1 0.1412 0.2787 0.4087 1
Mg2 0.2893 0.5800 0.8679 1
H1 0.2338 0.4641 0.1343 1
Ir1 0.0000 0.0000 0.0000 1
Ir2 0.4551 0.9038 0.3079 1
```

(6)
Starting from a structure optimized by DFT (PBE), the powder XRD pattern of MgH2Ir2 was computed for Cu Kα X-rays.
Kinematic intensities with the Lorentz-polarization factor, no thermal factor.

The 6 most intense peaks (15 to 90 degrees two-theta), sorted by position:
2θ/deg, intensity, hkl
15.59, 35, 0 0 1
22.04, 33, 2 0 -1
37.62, 100, 1 1 -2
38.18, 95, 3 1 0
44.55, 32, 0 2 0
44.95, 31, 4 0 -2

Cell and atoms:
```
data_MgH2Ir2
_chemical_formula_sum 'Mg4 H8 Ir8'
_symmetry_space_group_name_H-M 'C 1 2/m 1'
_symmetry_Int_Tables_number 12
_cell_length_a 9.0356
_cell_length_b 4.0672
_cell_length_c 5.9198
_cell_angle_alpha 90.00
_cell_angle_beta 106.18
_cell_angle_gamma 90.00
loop_
_symmetry_equiv_pos_as_xyz
'x,y,z'
'-x,-y,-z'
'-x,y,-z'
'x,-y,z'
'x+1/2,y+1/2,z'
'-x+1/2,-y+1/2,-z'
'-x+1/2,y+1/2,-z'
'x+1/2,-y+1/2,z'
loop_
_atom_site_label
_atom_site_fract_x
_atom_site_fract_y
_atom_site_fract_z
_atom_site_occupancy
Mg1 0.1333 0.0000 0.2906 1
H1 0.1585 0.2463 0.6112 1
Ir1 0.0000 0.5000 0.0000 1
Ir2 0.0000 0.5000 0.5000 1
Ir3 0.1797 0.0000 0.8620 1
```

(7)
Starting from a structure optimized by DFT (PBE), the powder XRD pattern of Mg2HIrN was computed for Cu Kα X-rays.
Kinematic intensities with the Lorentz-polarization factor, no thermal factor.

The 6 most intense peaks (15 to 90 degrees two-theta), sorted by position:
2θ/deg, intensity, hkl
18.96, 100, 1 0 0
26.94, 35, 1 1 0
38.21, 48, 1 0 1
38.47, 38, 2 0 0
42.99, 45, 1 1 1
55.34, 33, 2 1 1

Cell and atoms:
```
data_Mg2HIrN
_chemical_formula_sum 'Mg2 H1 Ir1 N1'
_symmetry_space_group_name_H-M 'P 4/m m m'
_symmetry_Int_Tables_number 123
_symmetry_space_group_name_Hall '-P 4 2'
_cell_length_a 4.6801
_cell_length_b 4.6801
_cell_length_c 2.7254
_cell_angle_alpha 90.00
_cell_angle_beta 90.00
_cell_angle_gamma 90.00
loop_
_atom_site_label
_atom_site_fract_x
_atom_site_fract_y
_atom_site_fract_z
_atom_site_occupancy
Mg1 0.0000 0.5000 0.0000 1
H1 0.0000 0.0000 0.5000 1
Ir1 0.5000 0.5000 0.5000 1
N1 0.0000 0.0000 0.0000 1
```

(8)
Starting from a structure optimized by DFT (PBE), the powder XRD pattern of Mg6HIrPb2 was computed for Cu Kα X-rays.
Kinematic intensities with the Lorentz-polarization factor, no thermal factor.

The 6 most intense peaks (15 to 90 degrees two-theta), sorted by position:
2θ/deg, intensity, hkl
16.11, 21, 1 1 0
26.45, 100, 2 0 0
32.55, 18, 2 2 0
37.72, 25, 0 4 0
46.64, 22, 2 4 0
46.74, 22, 4 2 -3

Cell and atoms:
```
data_Mg6HIrPb2
_chemical_formula_sum 'Mg12 H2 Ir2 Pb4'
_symmetry_space_group_name_H-M 'C 1 2/m 1'
_symmetry_Int_Tables_number 12
_cell_length_a 9.5125
_cell_length_b 9.5320
_cell_length_c 6.7267
_cell_angle_alpha 90.00
_cell_angle_beta 134.79
_cell_angle_gamma 90.00
loop_
_symmetry_equiv_pos_as_xyz
'x,y,z'
'-x,-y,-z'
'-x,y,-z'
'x,-y,z'
'x+1/2,y+1/2,z'
'-x+1/2,-y+1/2,-z'
'-x+1/2,y+1/2,-z'
'x+1/2,-y+1/2,z'
loop_
_atom_site_label
_atom_site_fract_x
_atom_site_fract_y
_atom_site_fract_z
_atom_site_occupancy
Mg1 0.0000 0.2357 0.0000 1
Mg2 0.2345 0.0000 0.9989 1
Mg3 0.2356 0.0000 0.4721 1
H1 0.0000 0.0000 0.0000 1
Ir1 0.0000 0.5000 0.0000 1
Pb1 0.0000 0.2503 0.5000 1
```

(9)
Starting from a structure optimized by DFT (PBE), the powder XRD pattern of TmMgH8Ir2 was computed for Cu Kα X-rays.
Kinematic intensities with the Lorentz-polarization factor, no thermal factor.

The 6 most intense peaks (15 to 90 degrees two-theta), sorted by position:
2θ/deg, intensity, hkl
23.47, 72, 1 1 0
30.75, 100, 1 1 1
32.02, 54, 2 0 -2
33.03, 57, 2 0 1
36.12, 79, 1 1 -2
39.24, 93, 3 1 -1

Cell and atoms:
```
data_TmMgH8Ir2
_chemical_formula_sum 'Tm2 Mg2 H16 Ir4'
_symmetry_space_group_name_H-M 'C 1 2/m 1'
_symmetry_Int_Tables_number 12
_cell_length_a 8.1157
_cell_length_b 4.3856
_cell_length_c 6.0371
_cell_angle_alpha 90.00
_cell_angle_beta 111.37
_cell_angle_gamma 90.00
loop_
_symmetry_equiv_pos_as_xyz
'x,y,z'
'-x,-y,-z'
'-x,y,-z'
'x,-y,z'
'x+1/2,y+1/2,z'
'-x+1/2,-y+1/2,-z'
'-x+1/2,y+1/2,-z'
'x+1/2,-y+1/2,z'
loop_
_atom_site_label
_atom_site_fract_x
_atom_site_fract_y
_atom_site_fract_z
_atom_site_occupancy
Tm1 0.0000 0.0000 0.0000 1
Mg1 0.0000 0.5000 0.5000 1
H1 0.0762 0.5000 0.1660 1
H2 0.1659 0.2582 0.8201 1
H3 0.2136 0.0000 0.3722 1
Ir1 0.2082 0.0000 0.6468 1
```

(10)
Starting from a structure optimized by DFT (PBE), the powder XRD pattern of Mn2HIrSe was computed for Cu Kα X-rays.
Kinematic intensities with the Lorentz-polarization factor, no thermal factor.

The 6 most intense peaks (15 to 90 degrees two-theta), sorted by position:
2θ/deg, intensity, hkl
34.71, 100, 3 1 0
38.49, 75, 4 0 -1
39.23, 71, 4 0 1
42.07, 64, 1 1 -1
42.24, 70, 1 1 1
43.26, 67, 5 1 0

Cell and atoms:
```
data_Mn2HIrSe
_chemical_formula_sum 'Mn4 H2 Ir2 Se2'
_symmetry_space_group_name_H-M 'C 1 m 1'
_symmetry_Int_Tables_number 8
_cell_length_a 14.2426
_cell_length_b 3.0810
_cell_length_c 3.0530
_cell_angle_alpha 90.00
_cell_angle_beta 91.06
_cell_angle_gamma 90.00
loop_
_symmetry_equiv_pos_as_xyz
'x,y,z'
'x,-y,z'
'x+1/2,y+1/2,z'
'x+1/2,-y+1/2,z'
loop_
_atom_site_label
_atom_site_fract_x
_atom_site_fract_y
_atom_site_fract_z
_atom_site_occupancy
Mn1 0.0000 0.0000 0.0000 1
Mn2 0.2490 0.0000 0.9998 1
H1 0.0757 0.0000 0.5050 1
Ir1 0.1420 0.5000 0.4927 1
Se1 0.3956 0.0000 0.5075 1
```

(11)
Starting from a structure optimized by DFT (PBE), the powder XRD pattern of Mn2HIrSe was computed for Cu Kα X-rays.
Kinematic intensities with the Lorentz-polarization factor, no thermal factor.

The 6 most intense peaks (15 to 90 degrees two-theta), sorted by position:
2θ/deg, intensity, hkl
26.03, 37, 2 0 -1
28.46, 29, 1 1 0
32.55, 31, 2 0 1
37.66, 100, 1 1 -1
42.98, 65, 4 0 1
44.59, 59, 5 1 0

Cell and atoms:
```
data_Mn2HIrSe
_chemical_formula_sum 'Mn4 H2 Ir2 Se2'
_symmetry_space_group_name_H-M 'C 1 m 1'
_symmetry_Int_Tables_number 8
_cell_length_a 13.5396
_cell_length_b 3.2301
_cell_length_c 3.5476
_cell_angle_alpha 90.00
_cell_angle_beta 105.14
_cell_angle_gamma 90.00
loop_
_symmetry_equiv_pos_as_xyz
'x,y,z'
'x,-y,z'
'x+1/2,y+1/2,z'
'x+1/2,-y+1/2,z'
loop_
_atom_site_label
_atom_site_fract_x
_atom_site_fract_y
_atom_site_fract_z
_atom_site_occupancy
Mn1 0.0000 0.0000 0.0000 1
Mn2 0.2131 0.0000 0.2130 1
H1 0.2426 0.5000 0.7442 1
Ir1 0.1173 0.5000 0.6173 1
Se1 0.4174 0.0000 0.4172 1
```

(12)
Starting from a structure optimized by DFT (PBE), the powder XRD pattern of Mo2H2Ir was computed for Cu Kα X-rays.
Kinematic intensities with the Lorentz-polarization factor, no thermal factor.

The 6 most intense peaks (15 to 90 degrees two-theta), sorted by position:
2θ/deg, intensity, hkl
27.73, 12, 1 0 1
36.65, 68, 1 1 0
40.79, 100, 1 0 3
52.79, 24, 2 0 0
68.79, 42, 2 1 3
76.94, 15, 1 1 6

Cell and atoms:
```
data_Mo2H2Ir
_chemical_formula_sum 'Mo4 H4 Ir2'
_symmetry_space_group_name_H-M 'I 4/m m m'
_symmetry_Int_Tables_number 139
_symmetry_space_group_name_Hall '-I 4 2'
_cell_length_a 3.4680
_cell_length_b 3.4680
_cell_length_c 8.6162
_cell_angle_alpha 90.00
_cell_angle_beta 90.00
_cell_angle_gamma 90.00
loop_
_atom_site_label
_atom_site_fract_x
_atom_site_fract_y
_atom_site_fract_z
_atom_site_occupancy
Mo1 0.0000 0.0000 0.1560 1
H1 0.0000 0.5000 0.2500 1
Ir1 0.0000 0.0000 0.5000 1
```